[1]
The following is a simulated PXRD pattern of Pm5Pr4Ho2. It was derived from DFT lattice parameters and positions (PBE), using λ = 1.5418 Å (Cu Kα).
No peak broadening, texture or thermal motion is included.

Main lines, low angle first (2θ from 5° to 70°):
two_theta, d_spacing, Rel. int.
25.1, 3.541, 438
28.8, 3.102, 581
29.6, 3.017, 1000
30.6, 2.918, 646
32.7, 2.736, 421
33.3, 2.688, 720
34.0, 2.639, 464
34.7, 2.582, 749

Atomic structure:
```
Pm5Pr4Ho2
1.0
-1.795 5.837 9.291
1.795 -5.837 9.291
1.795 5.837 -9.291
Pm Pr Ho
5 4 2
direct
0.000 0.000 0.000 Pm
0.111 0.320 0.791 Pm
0.471 0.680 0.791 Pm
0.529 0.320 0.209 Pm
0.889 0.680 0.209 Pm
0.259 0.500 0.759 Pr
0.410 0.910 0.500 Pr
0.590 0.090 0.500 Pr
0.741 0.500 0.241 Pr
0.204 0.704 0.500 Ho
0.796 0.296 0.500 Ho
```

---

[2]
The following is a simulated PXRD pattern of Pm2Dy2Sb5. It was derived from DFT lattice parameters and positions (PBE), using λ = 1.5418 Å (Cu Kα).
No peak broadening, texture or thermal motion is included.

Main lines, low angle first (2θ from 5° to 70°):
two_theta, d_spacing, Rel. int.
27.0, 3.302, 383
29.5, 3.026, 1000
31.0, 2.887, 356
32.0, 2.795, 392
33.4, 2.684, 863
33.7, 2.662, 397
34.9, 2.572, 710
35.5, 2.526, 651

Atomic structure:
```
Pm2Dy2Sb5
1.0
7.985 -4.035 0.000
7.985 4.035 0.000
0.000 0.000 8.261
Pm Dy Sb
4 4 10
direct
0.191 0.191 0.000 Pm
0.309 0.309 0.500 Pm
0.691 0.691 0.500 Pm
0.809 0.809 0.000 Pm
0.157 0.843 0.661 Dy
0.343 0.657 0.161 Dy
0.657 0.343 0.839 Dy
0.843 0.157 0.339 Dy
0.000 0.000 0.000 Sb
0.007 0.719 0.356 Sb
0.219 0.507 0.856 Sb
0.281 0.993 0.356 Sb
0.493 0.781 0.856 Sb
0.500 0.500 0.500 Sb
0.507 0.219 0.144 Sb
0.719 0.007 0.644 Sb
0.781 0.493 0.144 Sb
0.993 0.281 0.644 Sb
```

---

[3]
The following is a simulated PXRD pattern of Ac3NdSm3. It was derived from DFT lattice parameters and positions (PBE), using λ = 1.5418 Å (Cu Kα).
No peak broadening, texture or thermal motion is included.

Main lines, low angle first (2θ from 5° to 70°):
two_theta, d_spacing, Rel. int.
11.2, 7.875, 17
22.8, 3.902, 29
28.8, 3.099, 1000
33.4, 2.684, 511
47.9, 1.898, 373
56.9, 1.619, 446
59.6, 1.552, 32
59.7, 1.549, 96

Atomic structure:
```
Ac3NdSm3
1.0
5.018 2.897 6.207
-5.018 2.897 6.207
0.000 -5.794 6.207
Ac Nd Sm
6 2 6
direct
0.175 0.458 0.614 Ac
0.386 0.825 0.542 Ac
0.458 0.614 0.175 Ac
0.542 0.386 0.825 Ac
0.614 0.175 0.458 Ac
0.825 0.542 0.386 Ac
0.244 0.244 0.244 Nd
0.756 0.756 0.756 Nd
0.033 0.899 0.317 Sm
0.101 0.683 0.967 Sm
0.317 0.033 0.899 Sm
0.683 0.967 0.101 Sm
0.899 0.317 0.033 Sm
0.967 0.101 0.683 Sm
```